Diffraction record for PRh2F. The powder diffraction line list is theoretical, not measured: it uses DFT lattice parameters and positions (GGA-PBE) and CuKα.
Lines closer than 0.1° are merged.

Principal peaks in the range 2θ = 10–90°, low angle first:
two_theta	I/Imax	(hkl)
30.9	52	2 0 0
44.3	100	2 2 0
55.0	14	2 2 2
64.4	16	4 0 0
73.2	18	4 2 0
81.5	32	4 2 2

Atomic structure:
Unit cell a=5.785 b=5.785 c=5.785 alpha=90.00 beta=90.00 gamma=90.00
Space group Fm-3m (No. 225)
Unique sites:
P 0.000 0.000 0.000 (multiplicity 4)
Rh 0.250 0.250 0.250 (multiplicity 8)
F 0.000 0.000 0.500 (multiplicity 4)

Diffraction record for PS6F2. The powder diffraction line list is theoretical, not measured: it uses DFT lattice parameters and positions (GGA-PBE) and CuKα.
Lines closer than 0.1° are merged.

Principal peaks in the range 2θ = 10–90°, low angle first:
two_theta	I/Imax	(hkl)
17.5	41	0 0 4
18.3	100	1 0 -2
20.4	50	1 0 2
22.2	32	0 1 3
24.9	88	1 1 0
25.7	38	1 1 1
27.2	24	1 1 -3
28.4	24	0 1 5
31.9	31	1 1 4
37.5	14	1 0 -8

Atomic structure:
Unit cell a=5.173 b=4.980 c=20.431 alpha=90.00 beta=97.50 gamma=90.00
Space group P2_1/c (No. 14)
Unique sites:
P 0.000 0.000 0.000 (multiplicity 2)
S 0.058 0.022 0.906 (multiplicity 4)
S 0.286 0.170 0.259 (multiplicity 4)
S 0.438 0.085 0.693 (multiplicity 4)
F 0.233 0.233 0.020 (multiplicity 4)

Diffraction record for PS3F. The powder diffraction line list is theoretical, not measured: it uses DFT lattice parameters and positions (GGA-PBE) and CuKα.
Lines closer than 0.1° are merged.

Principal peaks in the range 2θ = 10–90°, low angle first:
two_theta	I/Imax	(hkl)
14.0	86	1 0 0
15.0	100	0 1 1
19.2	83	1 0 1
19.5	15	1 1 0
20.6	17	1 1 1
22.0	13	0 1 -1
27.1	56	0 2 0
28.3	28	2 0 0
29.2	13	-1 2 1
31.3	28	2 0 1

Atomic structure:
Unit cell a=6.310 b=7.060 c=7.256 alpha=68.60 beta=89.86 gamma=89.81
Space group P1 (No. 1)
Unique sites:
P 0.000 0.000 0.000 (multiplicity 1)
P 0.250 0.500 0.500 (multiplicity 1)
S 0.290 0.825 0.418 (multiplicity 1)
S 0.313 0.916 0.119 (multiplicity 1)
S 0.320 0.390 0.303 (multiplicity 1)
S 0.930 0.892 0.803 (multiplicity 1)
S 0.936 0.418 0.620 (multiplicity 1)
S 0.960 0.325 0.919 (multiplicity 1)
F 0.391 0.429 0.697 (multiplicity 1)
F 0.859 0.930 0.197 (multiplicity 1)